# 1
This entry pairs a crystal structure of LiTiO2 with its calculated powder X-ray diffraction pattern. Radiation: Cu Ka. Structure: the GGA-PBE geometry in the Materials Project.

Atomic structure:
```
data_LiTiO2
_chemical_formula_sum 'Li3 Ti3 O6'
_cell_length_a 2.9174
_cell_length_b 2.9174
_cell_length_c 15.6783
_cell_angle_alpha 90.00
_cell_angle_beta 90.00
_cell_angle_gamma 120.00
_space_group_name_H-M_alt 'R 3 m'
_space_group_IT_number 160
_space_group_name_Hall 'R 3 -2"'
loop_
_atom_site_label
_atom_site_type_symbol
_atom_site_fract_x
_atom_site_fract_y
_atom_site_fract_z
Li1 Li 0.0000 0.0000 0.0000
Ti1 Ti 0.0000 0.0000 0.8267
O1 O 0.0000 0.0000 0.2353
O2 O 0.0000 0.0000 0.4165
```

Main lines, most intense first (2θ from 5° to 70°):
2θ 16.97, I = 100, hkl 0 0 3
2θ 37.40, I = 57, hkl 0 1 2
2θ 46.14, I = 57, hkl 0 1 5
2θ 54.77, I = 23, hkl 1 0 7
2θ 63.81, I = 20, hkl 1 1 0
2θ 66.55, I = 11, hkl 1 1 3
2θ 36.01, I = 9, hkl 1 0 1
2θ 42.57, I = 7, hkl 1 0 4
2θ 59.71, I = 6, hkl 0 1 8
2θ 34.32, I = 3, hkl 0 0 6

# 2
This entry pairs a crystal structure of HoSI with its calculated powder X-ray diffraction pattern. Radiation: Cu Ka. Structure: the GGA-PBE geometry in the Materials Project.

Atomic structure:
```
data_HoSI
_chemical_formula_sum 'Ho2 S2 I2'
_cell_length_a 4.162
_cell_length_b 5.349
_cell_length_c 10.134
_cell_angle_alpha 90.00
_cell_angle_beta 90.00
_cell_angle_gamma 90.00
_space_group_name_H-M_alt 'P m m n'
_space_group_IT_number 59
loop_
_space_group_symop_operation_xyz
'x,y,z'
'-x,-y,-z'
'-x+1/2,-y+1/2,z'
'x+1/2,y+1/2,-z'
'x+1/2,-y,-z'
'-x+1/2,y,z'
'-x,y+1/2,-z'
'x,-y+1/2,z'
loop_
_atom_site_label
_atom_site_type_symbol
_atom_site_fract_x
_atom_site_fract_y
_atom_site_fract_z
Ho1 Ho 0.250 0.250 0.111
S1 S 0.250 0.750 0.063
I1 I 0.250 0.750 0.671
```

Main lines, most intense first (2θ from 5° to 70°):
2θ 18.76, I = 100, hkl 0 1 1
2θ 27.74, I = 81, hkl 1 0 2
2θ 8.73, I = 64, hkl 0 0 1
2θ 44.04, I = 45, hkl 1 2 2
2θ 28.57, I = 42, hkl 1 1 1
2θ 38.22, I = 38, hkl 1 1 3
2θ 33.51, I = 30, hkl 0 2 0
2θ 34.19, I = 18, hkl 1 0 3
2θ 47.75, I = 18, hkl 2 1 1
2θ 43.49, I = 14, hkl 2 0 0

# 3
This entry pairs a crystal structure of KLaInBiO6 with its calculated powder X-ray diffraction pattern. Radiation: Cu Ka. Structure: the GGA-PBE geometry in the Materials Project.

Atomic structure:
```
data_KLaInBiO6
_chemical_formula_sum 'K4 La4 In4 Bi4 O24'
_cell_length_a 8.432
_cell_length_b 8.432
_cell_length_c 8.432
_cell_angle_alpha 90.00
_cell_angle_beta 90.00
_cell_angle_gamma 90.00
_space_group_name_H-M_alt 'F -4 3 m'
_space_group_IT_number 216
_space_group_name_Hall 'F -4 2 3'
loop_
_atom_site_label
_atom_site_type_symbol
_atom_site_fract_x
_atom_site_fract_y
_atom_site_fract_z
K1 K 0.000 0.000 0.000
La1 La 0.000 0.000 0.500
In1 In 0.250 0.250 0.750
Bi1 Bi 0.250 0.250 0.250
O1 O 0.001 0.250 0.250
```

Main lines, most intense first (2θ from 5° to 70°):
2θ 29.97, I = 100, hkl 2 2 0
2θ 53.22, I = 41, hkl 4 2 2
2θ 42.90, I = 31, hkl 4 0 0
2θ 62.29, I = 19, hkl 4 4 0
2θ 21.07, I = 17, hkl 2 0 0
2θ 18.22, I = 17, hkl 1 1 1
2θ 35.30, I = 10, hkl 3 1 1
2θ 48.27, I = 8, hkl 4 2 0
2θ 46.97, I = 5, hkl 3 3 1
2θ 65.49, I = 4, hkl 5 3 1

# 4
This entry pairs a crystal structure of MgCr4S10 with its calculated powder X-ray diffraction pattern. Radiation: Cu Ka. Structure: the GGA-PBE geometry in the Materials Project.

Atomic structure:
```
data_MgCr4S10
_chemical_formula_sum 'Mg1 Cr4 S10'
_cell_length_a 6.255
_cell_length_b 4.247
_cell_length_c 13.853
_cell_angle_alpha 90.00
_cell_angle_beta 93.33
_cell_angle_gamma 90.00
_space_group_name_H-M_alt 'P 1 m 1'
_space_group_IT_number 6
_space_group_name_Hall 'P -2y'
loop_
_atom_site_label
_atom_site_type_symbol
_atom_site_fract_x
_atom_site_fract_y
_atom_site_fract_z
Mg1 Mg 0.000 0.000 0.000
Cr1 Cr 0.372 0.000 0.547
Cr2 Cr 0.378 0.000 0.846
Cr3 Cr 0.543 0.500 0.053
Cr4 Cr 0.593 0.500 0.354
S1 S 0.041 0.000 0.826
S2 S 0.054 0.000 0.537
S3 S 0.414 0.000 0.023
S4 S 0.456 0.500 0.210
S5 S 0.468 0.000 0.698
S6 S 0.487 0.000 0.392
S7 S 0.504 0.500 0.519
S8 S 0.512 0.500 0.882
S9 S 0.902 0.500 0.077
S10 S 0.912 0.500 0.350
```

Main lines, most intense first (2θ from 5° to 70°):
2θ 14.18, I = 100, hkl 1 0 0
2θ 21.89, I = 65, hkl 0 1 1
2θ 28.59, I = 53, hkl 2 0 0
2θ 12.80, I = 46, hkl 0 0 2
2θ 25.36, I = 40, hkl 1 1 0
2θ 42.58, I = 39, hkl 0 2 0
2θ 25.77, I = 24, hkl 0 0 4
2θ 39.08, I = 23, hkl 0 0 6
2θ 48.72, I = 21, hkl 3 1 0
2θ 15.91, I = 20, hkl 1 0 1

# 5
This entry pairs a crystal structure of KTe3 with its calculated powder X-ray diffraction pattern. Radiation: Cu Ka. Structure: the GGA-PBE geometry in the Materials Project.

Atomic structure:
```
data_KTe3
_chemical_formula_sum 'K2 Te6'
_cell_length_a 6.7823
_cell_length_b 6.7823
_cell_length_c 6.4483
_cell_angle_alpha 90.00
_cell_angle_beta 90.00
_cell_angle_gamma 120.00
_space_group_name_H-M_alt 'P 63/m m c'
_space_group_IT_number 194
_space_group_name_Hall '-P 6c 2c'
loop_
_atom_site_label
_atom_site_type_symbol
_atom_site_fract_x
_atom_site_fract_y
_atom_site_fract_z
K1 K 0.3333 0.6667 0.2500
Te1 Te 0.1760 0.3521 0.7500
```

Main lines, most intense first (2θ from 5° to 70°):
2θ 33.53, I = 100, hkl 2 0 1
2θ 27.67, I = 38, hkl 0 0 2
2θ 52.78, I = 27, hkl 2 0 3
2θ 30.44, I = 22, hkl 2 0 0
2θ 61.82, I = 21, hkl 2 2 2
2θ 20.45, I = 21, hkl 1 0 1
2θ 41.60, I = 18, hkl 2 0 2
2θ 54.09, I = 16, hkl 2 2 0
2θ 65.16, I = 13, hkl 4 0 1
2θ 57.14, I = 5, hkl 0 0 4

# 6
This entry pairs a crystal structure of Sc3Co2Ge3 with its calculated powder X-ray diffraction pattern. Radiation: Cu Ka. Structure: the GGA-PBE geometry in the Materials Project.

Atomic structure:
```
data_Sc3Co2Ge3
_chemical_formula_sum 'Sc12 Co8 Ge12'
_cell_length_a 4.042
_cell_length_b 9.904
_cell_length_c 13.291
_cell_angle_alpha 90.00
_cell_angle_beta 90.00
_cell_angle_gamma 90.00
_space_group_name_H-M_alt 'C m c m'
_space_group_IT_number 63
_space_group_name_Hall '-C 2c 2'
loop_
_atom_site_label
_atom_site_type_symbol
_atom_site_fract_x
_atom_site_fract_y
_atom_site_fract_z
Sc1 Sc 0.000 0.080 0.111
Sc2 Sc 0.000 0.353 0.250
Co1 Co 0.000 0.209 0.598
Ge1 Ge 0.000 0.346 0.750
Ge2 Ge 0.000 0.377 0.040
```

Main lines, most intense first (2θ from 5° to 70°):
2θ 40.74, I = 100, hkl 0 0 6
2θ 36.15, I = 96, hkl 1 1 4
2θ 44.73, I = 60, hkl 1 3 4
2θ 44.85, I = 59, hkl 2 0 0
2θ 35.76, I = 35, hkl 1 3 1
2θ 27.01, I = 30, hkl 0 2 3
2θ 13.32, I = 26, hkl 0 0 2
2θ 17.91, I = 25, hkl 0 2 0
2θ 41.79, I = 23, hkl 0 4 3
2θ 54.17, I = 23, hkl 1 1 7

Copy entry 1 word for word.
This entry pairs a crystal structure of LiTiO2 with its calculated powder X-ray diffraction pattern. Radiation: Cu Ka. Structure: the GGA-PBE geometry in the Materials Project.

Atomic structure:
```
data_LiTiO2
_chemical_formula_sum 'Li3 Ti3 O6'
_cell_length_a 2.9174
_cell_length_b 2.9174
_cell_length_c 15.6783
_cell_angle_alpha 90.00
_cell_angle_beta 90.00
_cell_angle_gamma 120.00
_space_group_name_H-M_alt 'R 3 m'
_space_group_IT_number 160
_space_group_name_Hall 'R 3 -2"'
loop_
_atom_site_label
_atom_site_type_symbol
_atom_site_fract_x
_atom_site_fract_y
_atom_site_fract_z
Li1 Li 0.0000 0.0000 0.0000
Ti1 Ti 0.0000 0.0000 0.8267
O1 O 0.0000 0.0000 0.2353
O2 O 0.0000 0.0000 0.4165
```

Main lines, most intense first (2θ from 5° to 70°):
2θ 16.97, I = 100, hkl 0 0 3
2θ 37.40, I = 57, hkl 0 1 2
2θ 46.14, I = 57, hkl 0 1 5
2θ 54.77, I = 23, hkl 1 0 7
2θ 63.81, I = 20, hkl 1 1 0
2θ 66.55, I = 11, hkl 1 1 3
2θ 36.01, I = 9, hkl 1 0 1
2θ 42.57, I = 7, hkl 1 0 4
2θ 59.71, I = 6, hkl 0 1 8
2θ 34.32, I = 3, hkl 0 0 6

What did the fifth record say?
This entry pairs a crystal structure of KTe3 with its calculated powder X-ray diffraction pattern. Radiation: Cu Ka. Structure: the GGA-PBE geometry in the Materials Project.

Atomic structure:
```
data_KTe3
_chemical_formula_sum 'K2 Te6'
_cell_length_a 6.7823
_cell_length_b 6.7823
_cell_length_c 6.4483
_cell_angle_alpha 90.00
_cell_angle_beta 90.00
_cell_angle_gamma 120.00
_space_group_name_H-M_alt 'P 63/m m c'
_space_group_IT_number 194
_space_group_name_Hall '-P 6c 2c'
loop_
_atom_site_label
_atom_site_type_symbol
_atom_site_fract_x
_atom_site_fract_y
_atom_site_fract_z
K1 K 0.3333 0.6667 0.2500
Te1 Te 0.1760 0.3521 0.7500
```

Main lines, most intense first (2θ from 5° to 70°):
2θ 33.53, I = 100, hkl 2 0 1
2θ 27.67, I = 38, hkl 0 0 2
2θ 52.78, I = 27, hkl 2 0 3
2θ 30.44, I = 22, hkl 2 0 0
2θ 61.82, I = 21, hkl 2 2 2
2θ 20.45, I = 21, hkl 1 0 1
2θ 41.60, I = 18, hkl 2 0 2
2θ 54.09, I = 16, hkl 2 2 0
2θ 65.16, I = 13, hkl 4 0 1
2θ 57.14, I = 5, hkl 0 0 4

What did the sixth record say?
This entry pairs a crystal structure of Sc3Co2Ge3 with its calculated powder X-ray diffraction pattern. Radiation: Cu Ka. Structure: the GGA-PBE geometry in the Materials Project.

Atomic structure:
```
data_Sc3Co2Ge3
_chemical_formula_sum 'Sc12 Co8 Ge12'
_cell_length_a 4.042
_cell_length_b 9.904
_cell_length_c 13.291
_cell_angle_alpha 90.00
_cell_angle_beta 90.00
_cell_angle_gamma 90.00
_space_group_name_H-M_alt 'C m c m'
_space_group_IT_number 63
_space_group_name_Hall '-C 2c 2'
loop_
_atom_site_label
_atom_site_type_symbol
_atom_site_fract_x
_atom_site_fract_y
_atom_site_fract_z
Sc1 Sc 0.000 0.080 0.111
Sc2 Sc 0.000 0.353 0.250
Co1 Co 0.000 0.209 0.598
Ge1 Ge 0.000 0.346 0.750
Ge2 Ge 0.000 0.377 0.040
```

Main lines, most intense first (2θ from 5° to 70°):
2θ 40.74, I = 100, hkl 0 0 6
2θ 36.15, I = 96, hkl 1 1 4
2θ 44.73, I = 60, hkl 1 3 4
2θ 44.85, I = 59, hkl 2 0 0
2θ 35.76, I = 35, hkl 1 3 1
2θ 27.01, I = 30, hkl 0 2 3
2θ 13.32, I = 26, hkl 0 0 2
2θ 17.91, I = 25, hkl 0 2 0
2θ 41.79, I = 23, hkl 0 4 3
2θ 54.17, I = 23, hkl 1 1 7